(1)
# LaPm2Th2
Simulated powder diffraction line list, copper Kα. Input: a structure optimized by DFT (GGA-PBE).
Intensities are scaled so that the largest is 100.

Main lines, most intense first (2θ = 10–90°):
2theta	Rel. int.
30.90	100.0
33.76	92.6
29.90	48.7
59.68	42.2
50.36	35.4
29.07	32.3
57.41	23.2
51.79	19.7
62.00	16.4
83.94	15.8

Structural model:
```
LaPm2Th2
1.0
3.624 0.000 0.000
-1.812 3.139 0.000
0.000 0.000 14.943
La Pm Th
1 2 2
Direct
0.000 0.000 0.000 La
0.333 0.667 0.796 Pm
0.667 0.333 0.204 Pm
0.333 0.667 0.404 Th
0.667 0.333 0.596 Th
```



(2)
# La5PmTh2
Simulated powder diffraction line list, copper Kα. Input: a structure optimized by DFT (GGA-PBE).
Intensities are scaled so that the largest is 100.

Main lines, most intense first (2θ = 10–90°):
2theta	Rel. int.
30.50	100.0
29.88	89.8
30.89	63.8
35.19	60.7
35.53	52.4
27.23	48.8
32.34	40.8
32.12	33.9
50.45	33.1
28.60	30.1

Structural model:
```
La5PmTh2
1.0
3.619 0.000 0.000
0.000 8.970 0.000
-3.352 0.000 17.591
La Pm Th
10 2 4
Direct
0.000 0.029 0.250 La
0.000 0.971 0.750 La
0.144 0.341 0.359 La
0.144 0.659 0.859 La
0.196 0.316 0.952 La
0.196 0.684 0.452 La
0.804 0.316 0.548 La
0.804 0.684 0.048 La
0.856 0.341 0.141 La
0.856 0.659 0.641 La
0.500 0.322 0.750 Pm
0.500 0.678 0.250 Pm
0.329 0.009 0.084 Th
0.329 0.991 0.584 Th
0.671 0.009 0.416 Th
0.671 0.991 0.916 Th
```



(3)
# LaPm4Th2
Simulated powder diffraction line list, copper Kα. Input: a structure optimized by DFT (GGA-PBE).
Intensities are scaled so that the largest is 100.

Main lines, most intense first (2θ = 10–90°):
2theta	Rel. int.
30.05	100.0
34.83	46.1
30.16	33.1
59.56	29.3
34.96	22.2
50.12	16.3
50.04	16.0
50.28	16.0
59.39	9.8
81.40	9.7

Structural model:
```
LaPm4Th2
1.0
6.278 0.000 0.000
-1.044 6.218 0.000
-1.055 -1.238 6.108
La Pm Th
1 4 2
Direct
0.000 0.000 0.000 La
0.155 0.581 0.298 Pm
0.303 0.150 0.583 Pm
0.446 0.716 0.864 Pm
0.598 0.301 0.161 Pm
0.735 0.867 0.446 Th
0.867 0.432 0.714 Th
```



(4)
# La5Pm2Th3
Simulated powder diffraction line list, copper Kα. Input: a structure optimized by DFT (GGA-PBE).
Intensities are scaled so that the largest is 100.

Main lines, most intense first (2θ = 10–90°):
2theta	Rel. int.
29.93	100.0
34.49	17.3
34.87	16.9
34.73	16.5
59.49	14.6
59.31	13.8
49.85	12.4
62.18	12.3
49.75	12.0
50.03	11.9

Structural model:
```
La5Pm2Th3
1.0
5.811 -2.573 0.000
5.811 2.573 0.000
-0.054 0.000 11.562
La Pm Th
5 2 3
Direct
0.000 0.000 0.000 La
0.200 0.200 0.404 La
0.304 0.304 0.108 La
0.696 0.696 0.892 La
0.800 0.800 0.596 La
0.401 0.401 0.790 Pm
0.599 0.599 0.210 Pm
0.096 0.096 0.695 Th
0.500 0.500 0.500 Th
0.904 0.904 0.305 Th
```



(5)
# La6Pm4Th
Simulated powder diffraction line list, copper Kα. Input: a structure optimized by DFT (GGA-PBE).
Intensities are scaled so that the largest is 100.

Main lines, most intense first (2θ = 10–90°):
2theta	Rel. int.
29.58	100.0
31.11	95.0
29.41	84.0
30.92	75.8
29.87	72.2
32.29	70.8
42.54	55.2
27.16	29.7
53.46	20.8
40.59	20.5

Structural model:
```
La6Pm4Th
1.0
3.020 -4.941 0.000
3.020 4.941 0.000
0.000 0.000 26.313
La Pm Th
12 8 2
Direct
0.000 0.000 0.000 La
0.000 0.000 0.500 La
0.062 0.938 0.750 La
0.293 0.707 0.102 La
0.293 0.707 0.398 La
0.389 0.611 0.682 La
0.389 0.611 0.818 La
0.611 0.389 0.182 La
0.611 0.389 0.318 La
0.707 0.293 0.602 La
0.707 0.293 0.898 La
0.938 0.062 0.250 La
0.057 0.943 0.624 Pm
0.057 0.943 0.876 Pm
0.352 0.648 0.544 Pm
0.352 0.648 0.956 Pm
0.648 0.352 0.044 Pm
0.648 0.352 0.456 Pm
0.943 0.057 0.124 Pm
0.943 0.057 0.376 Pm
0.282 0.718 0.250 Th
0.718 0.282 0.750 Th
```



(6)
# La7Pm2Th2
Simulated powder diffraction line list, copper Kα. Input: a structure optimized by DFT (GGA-PBE).
Intensities are scaled so that the largest is 100.

Main lines, most intense first (2θ = 10–90°):
2theta	Rel. int.
30.69	100.0
30.54	49.6
32.83	46.2
29.52	31.9
54.40	30.9
31.67	30.2
25.46	26.6
33.53	24.2
44.58	21.2
48.54	12.5

Structural model:
```
La7Pm2Th2
1.0
5.673 -5.854 0.000
5.673 5.854 0.000
-2.300 0.000 5.857
La Pm Th
7 2 2
Direct
0.000 0.000 0.000 La
0.071 0.580 0.835 La
0.242 0.242 0.585 La
0.420 0.929 0.165 La
0.580 0.071 0.835 La
0.758 0.758 0.415 La
0.929 0.420 0.165 La
0.223 0.777 0.500 Pm
0.777 0.223 0.500 Pm
0.417 0.417 0.197 Th
0.583 0.583 0.803 Th
```